# ZnIn2Hg
Simulated powder X-ray diffraction pattern, Cu Ka. Input: a cell relaxed with GGA-PBE.
Neutral-atom scattering factors, no anomalous dispersion.

Main lines, sorted by position (5° ≤ 2θ ≤ 70°):
d_spacing  two_theta  intensity
9.713  9.10  17
3.238  27.55  7
2.899  30.85  8
2.771  32.30  32
2.575  34.84  100
2.428  37.02  18
1.826  49.94  15
1.815  50.26  9
1.636  56.21  7
1.559  59.26  21
1.519  61.01  10
1.429  65.32  9

Structure:
```
ZnIn2Hg
1.0
1.8155 -2.7713 0.0000
1.8155 2.7713 0.0000
0.0000 0.0000 9.7129
Zn In Hg
1 2 1
direct
0.0000 0.0000 0.0000
0.0000 0.0000 0.5157
0.5000 0.5000 0.2318
0.5000 0.5000 0.7811
```



# La3PaPt3
Simulated powder X-ray diffraction pattern, Cu Ka. Input: a cell relaxed with GGA-PBE.
Neutral-atom scattering factors, no anomalous dispersion.

Main lines, sorted by position (5° ≤ 2θ ≤ 70°):
d_spacing  two_theta  intensity
5.913  14.98  35
3.638  24.47  43
3.441  25.89  47
3.046  29.32  73
2.877  31.08  58
2.797  32.00  70
2.759  32.45  36
2.490  36.07  83
2.348  38.33  42
2.307  39.05  100
2.184  41.33  79
2.062  43.90  74

Structure:
```
La3PaPt3
1.0
8.6315 -3.8636 0.0000
8.6315 3.8636 0.0000
0.0000 0.0000 11.8270
La Pa Pt
12 4 12
direct
0.0478 0.3095 0.8730
0.1618 0.8382 0.7925
0.1905 0.4522 0.6270
0.3095 0.0478 0.1270
0.3382 0.6618 0.2925
0.4522 0.1905 0.3730
0.5478 0.8095 0.6270
0.6618 0.3382 0.7075
0.6905 0.9522 0.8730
0.8095 0.5478 0.3730
0.8382 0.1618 0.2075
0.9522 0.6905 0.1270
0.0791 0.0791 0.5000
0.4209 0.4209 0.0000
0.5791 0.5791 0.0000
0.9209 0.9209 0.5000
0.0830 0.5989 0.3733
0.0989 0.5830 0.8733
0.1768 0.8232 0.0549
0.3232 0.6768 0.5549
0.4011 0.9170 0.3733
0.4170 0.9011 0.8733
0.5830 0.0989 0.1267
0.5989 0.0830 0.6267
0.6768 0.3232 0.4451
0.8232 0.1768 0.9451
0.9011 0.4170 0.1267
0.9170 0.4011 0.6267
```



# NbSn2Rh3
Simulated powder X-ray diffraction pattern, Cu Ka. Input: a cell relaxed with GGA-PBE.
Neutral-atom scattering factors, no anomalous dispersion.

Main lines, sorted by position (5° ≤ 2θ ≤ 70°):
d_spacing  two_theta  intensity
2.454  36.62  5
2.440  36.84  3
2.336  38.55  100
2.172  41.58  17
2.134  42.36  21
2.008  45.16  4
1.821  50.09  12
1.610  57.22  3
1.522  60.86  11
1.490  62.34  3
1.395  67.08  7
1.385  67.64  9

Structure:
```
NbSn2Rh3
1.0
-2.1336 3.6419 6.5152
2.1336 -3.6419 6.5152
2.1336 3.6419 -6.5152
Nb Sn Rh
2 4 6
direct
0.4333 0.1833 0.2500
0.5667 0.8167 0.7500
0.0927 0.8427 0.2500
0.2760 0.5260 0.7500
0.7240 0.4740 0.2500
0.9073 0.1573 0.7500
0.0000 0.0000 0.0000
0.1491 0.6716 0.4776
0.3060 0.3284 0.9776
0.5000 0.0000 0.5000
0.6940 0.6716 0.0224
0.8509 0.3284 0.5224
```



# Mg3In8
Simulated powder X-ray diffraction pattern, Cu Ka. Input: a cell relaxed with GGA-PBE.
Neutral-atom scattering factors, no anomalous dispersion.

Main lines, sorted by position (5° ≤ 2θ ≤ 70°):
d_spacing  two_theta  intensity
4.191  21.20  22
2.717  32.97  100
2.651  33.81  93
2.358  38.17  33
2.317  38.87  32
2.298  39.19  31
1.653  55.62  22
1.632  56.39  21
1.431  65.20  13
1.404  66.60  12
1.402  66.70  24
1.394  67.17  12

Structure:
```
Mg3In8
1.0
5.0918 -2.3167 0.0000
5.0918 2.3167 0.0000
-3.0347 0.0000 11.7162
Mg In
3 8
direct
0.0000 0.0000 0.0000
0.0929 0.0929 0.6359
0.9071 0.9071 0.3641
0.1820 0.1820 0.2756
0.2722 0.2722 0.9102
0.3665 0.3665 0.5456
0.4553 0.4553 0.1829
0.5447 0.5447 0.8171
0.6335 0.6335 0.4544
0.7278 0.7278 0.0898
0.8180 0.8180 0.7244
```



# Ga2NiPd3
Simulated powder X-ray diffraction pattern, Cu Ka. Input: a cell relaxed with GGA-PBE.
Neutral-atom scattering factors, no anomalous dispersion.

Main lines, sorted by position (5° ≤ 2θ ≤ 70°):
d_spacing  two_theta  intensity
2.617  34.26  18
2.597  34.53  17
2.451  36.67  63
2.431  36.98  84
2.415  37.24  82
2.186  41.29  47
2.046  44.28  65
2.036  44.50  62
1.881  48.40  45
1.844  49.44  100
1.477  62.93  13
1.409  66.32  44

Structure:
```
Ga2NiPd3
1.0
-2.5972 6.5593 2.6173
2.5972 -6.5593 2.6173
2.5972 6.5593 -2.6173
Ga Ni Pd
4 2 6
direct
0.1301 0.2304 0.3604
0.3699 0.7304 0.1003
0.6301 0.2696 0.8997
0.8699 0.7696 0.6396
0.2500 0.2500 0.0000
0.7500 0.7500 0.0000
0.1794 0.7413 0.9206
0.2500 0.7500 0.5000
0.3206 0.2413 0.5619
0.6794 0.7587 0.4381
0.7500 0.2500 0.5000
0.8206 0.2587 0.0794
```



# Sm6TmIn6
Simulated powder X-ray diffraction pattern, Cu Ka. Input: a cell relaxed with GGA-PBE.
Neutral-atom scattering factors, no anomalous dispersion.

Main lines, sorted by position (5° ≤ 2θ ≤ 70°):
d_spacing  two_theta  intensity
3.176  28.09  46
3.038  29.40  28
2.748  32.59  100
2.733  32.77  26
2.457  36.57  65
2.448  36.72  17
2.394  37.56  14
1.806  50.54  12
1.739  52.64  17
1.588  58.08  27
1.580  58.39  29
1.373  68.31  18

Structure:
```
Sm6TmIn6
1.0
6.3526 0.0000 0.0000
-3.1763 5.5015 0.0000
0.0000 0.0000 10.9321
Sm Tm In
6 1 6
direct
0.0000 0.0000 0.1683
0.0000 0.0000 0.8317
0.3333 0.6667 0.0000
0.3333 0.6667 0.5000
0.6667 0.3333 0.0000
0.6667 0.3333 0.5000
0.0000 0.0000 0.5000
0.0000 0.5000 0.2534
0.0000 0.5000 0.7466
0.5000 0.0000 0.2534
0.5000 0.0000 0.7466
0.5000 0.5000 0.2534
0.5000 0.5000 0.7466
```



# Co5Ni2
Simulated powder X-ray diffraction pattern, Cu Ka. Input: a cell relaxed with GGA-PBE.
Neutral-atom scattering factors, no anomalous dispersion.

Main lines, sorted by position (5° ≤ 2θ ≤ 70°):
d_spacing  two_theta  intensity
2.031  44.61  100
1.770  51.65  16
1.759  51.99  15
1.749  52.31  15

Structure:
```
Co5Ni2
1.0
3.9175 -1.7697 0.0000
3.9175 1.7697 0.0000
-0.8134 0.0000 5.4969
Co Ni
5 2
direct
0.0000 0.0000 0.0000
0.1438 0.1438 0.4284
0.2862 0.2862 0.8553
0.7138 0.7138 0.1447
0.8562 0.8562 0.5716
0.4282 0.4282 0.2842
0.5718 0.5718 0.7158
```



# NiTe2N2
Simulated powder X-ray diffraction pattern, Cu Ka. Input: a cell relaxed with GGA-PBE.
Neutral-atom scattering factors, no anomalous dispersion.

Main lines, sorted by position (5° ≤ 2θ ≤ 70°):
d_spacing  two_theta  intensity
5.642  15.71  75
4.025  22.08  13
3.277  27.21  16
2.846  31.43  100
2.821  31.72  70
2.541  35.32  79
2.013  45.04  51
2.004  45.26  74
1.896  47.99  19
1.638  56.14  52
1.569  58.85  17
1.423  65.60  16

Structure:
```
NiTe2N2
1.0
4.0254 0.0000 0.0000
0.0000 4.0254 0.0000
0.0000 0.0000 5.6420
Ni Te N
1 2 2
direct
0.0000 0.0000 0.0000
0.0000 0.0000 0.5000
0.5000 0.5000 0.5000
0.0000 0.5000 0.0000
0.5000 0.0000 0.0000
```